Structure and theoretical powder diffraction line list of Mg2Al2SiO9 (DFT lattice parameters and positions (PBE); CuKα).
Lines closer than 0.1° are merged.

Atomic structure:
Unit cell a=5.430 b=5.463 c=13.702 alpha=82.95 beta=86.85 gamma=61.11
Sites, in units of the cell vectors:
Mg 0.000 0.000 0.000
Mg 0.026 0.049 0.475
Mg 0.357 0.393 0.486
Mg 0.705 0.657 0.885
Al 0.353 0.665 0.693
Al 0.364 0.262 0.001
Al 0.635 0.280 0.209
Al 0.666 0.740 0.491
Si 0.293 0.952 0.210
Si 0.689 0.995 0.694
O 0.009 0.848 0.734
O 0.030 0.599 0.039
O 0.062 0.316 0.924
O 0.283 0.021 0.089
O 0.363 0.719 0.562
O 0.376 0.596 0.947
O 0.382 0.060 0.423
O 0.448 0.618 0.241
O 0.465 0.087 0.257
O 0.502 0.305 0.728
O 0.563 0.786 0.746
O 0.640 0.254 0.080
O 0.662 0.005 0.930
O 0.675 0.014 0.572
O 0.704 0.434 0.430
O 0.976 0.412 0.553
O 0.977 0.096 0.255
O 0.989 0.720 0.429

Principal peaks in the range 5° ≤ 2θ ≤ 70°, low angle first:
two_theta	Rel. int.
13.0	490
18.7	483
19.1	419
20.5	238
22.8	283
24.2	242
26.2	1000
36.4	211
36.5	245
58.2	296

=====

Structure and theoretical powder diffraction line list of MgAl2Si6O16 (DFT lattice parameters and positions (PBE); CuKα).
Lines closer than 0.1° are merged.

Atomic structure:
Unit cell a=5.133 b=8.325 c=8.524 alpha=89.36 beta=89.74 gamma=85.59
Sites, in units of the cell vectors:
Mg 0.000 0.000 0.000
Al 0.075 0.029 0.658
Al 0.771 0.748 0.179
Si 0.186 0.394 0.539
Si 0.255 0.262 0.202
Si 0.276 0.900 0.327
Si 0.576 0.885 0.828
Si 0.691 0.529 0.691
Si 0.758 0.393 0.037
O 0.063 0.851 0.193
O 0.129 0.226 0.618
O 0.141 0.910 0.497
O 0.187 0.381 0.346
O 0.272 0.963 0.828
O 0.346 0.081 0.258
O 0.468 0.452 0.590
O 0.479 0.326 0.088
O 0.540 0.784 0.324
O 0.593 0.711 0.743
O 0.676 0.868 0.010
O 0.755 0.416 0.848
O 0.777 0.010 0.758
O 0.829 0.549 0.128
O 0.957 0.533 0.587
O 0.991 0.242 0.084

Principal peaks in the range 5° ≤ 2θ ≤ 70°, low angle first:
two_theta	Rel. int.
19.7	544
20.2	1000
20.8	296
21.1	303
21.4	623
23.4	247
23.6	446
23.7	349
24.0	241
29.8	293

=====

Structure and theoretical powder diffraction line list of Mg2Al4Si5O18 (DFT lattice parameters and positions (PBE); CuKα).
Lines closer than 0.1° are merged.

Atomic structure:
Unit cell a=9.936 b=9.936 c=9.434 alpha=90.00 beta=90.00 gamma=120.71
Sites, in units of the cell vectors:
Mg 0.163 0.837 0.250
Mg 0.163 0.837 0.750
Mg 0.837 0.163 0.250
Mg 0.837 0.163 0.750
Al 0.000 0.500 0.250
Al 0.000 0.500 0.750
Al 0.142 0.243 0.000
Al 0.243 0.142 0.500
Al 0.500 0.000 0.250
Al 0.500 0.000 0.750
Al 0.757 0.858 0.500
Al 0.858 0.757 0.000
Si 0.000 0.000 0.250
Si 0.000 0.000 0.750
Si 0.128 0.398 0.500
Si 0.229 0.613 0.000
Si 0.387 0.771 0.500
Si 0.398 0.128 0.000
Si 0.602 0.872 0.000
Si 0.613 0.229 0.500
Si 0.771 0.387 0.000
Si 0.872 0.602 0.500
O 0.017 0.363 0.358
O 0.017 0.363 0.642
O 0.021 0.146 0.151
O 0.021 0.146 0.849
O 0.146 0.021 0.349
O 0.146 0.021 0.651
O 0.150 0.644 0.142
O 0.150 0.644 0.858
O 0.193 0.437 0.000
O 0.208 0.295 0.500
O 0.257 0.585 0.500
O 0.295 0.208 0.000
O 0.356 0.850 0.358
O 0.356 0.850 0.642
O 0.363 0.017 0.142
O 0.363 0.017 0.858
O 0.415 0.743 0.000
O 0.437 0.193 0.500
O 0.563 0.807 0.500
O 0.585 0.257 0.000
O 0.637 0.983 0.142
O 0.637 0.983 0.858
O 0.644 0.150 0.358
O 0.644 0.150 0.642
O 0.705 0.792 0.000
O 0.743 0.415 0.500
O 0.792 0.705 0.500
O 0.807 0.563 0.000
O 0.850 0.356 0.142
O 0.850 0.356 0.858
O 0.854 0.979 0.349
O 0.854 0.979 0.651
O 0.979 0.854 0.151
O 0.979 0.854 0.849
O 0.983 0.637 0.358
O 0.983 0.637 0.642

Principal peaks in the range 5° ≤ 2θ ≤ 70°, low angle first:
two_theta	Rel. int.
10.2	605
10.4	1000
21.5	529
26.0	348
26.2	222
28.2	494
29.0	312
29.1	260
29.3	307
53.6	216

=====

Structure and theoretical powder diffraction line list of Mg2Al4Si5O18 (DFT lattice parameters and positions (PBE); CuKα).
Lines closer than 0.1° are merged.

Atomic structure:
Unit cell a=9.444 b=9.821 c=9.888 alpha=60.57 beta=89.92 gamma=89.95
Sites, in units of the cell vectors:
Mg 0.000 0.000 0.000
Mg 0.000 0.336 0.338
Mg 0.503 0.001 0.999
Mg 0.504 0.332 0.343
Al 0.000 0.166 0.168
Al 0.251 0.412 0.561
Al 0.502 0.167 0.168
Al 0.502 0.171 0.664
Al 0.502 0.667 0.169
Al 0.751 0.030 0.562
Al 0.751 0.557 0.405
Al 0.999 0.667 0.171
Si 0.000 0.170 0.664
Si 0.249 0.568 0.034
Si 0.250 0.783 0.285
Si 0.251 0.044 0.398
Si 0.251 0.298 0.935
Si 0.251 0.936 0.766
Si 0.751 0.293 0.777
Si 0.751 0.769 0.934
Si 0.753 0.397 0.046
Si 0.753 0.936 0.284
O 0.097 0.316 0.544
O 0.104 0.022 0.789
O 0.109 0.153 0.322
O 0.110 0.186 0.015
O 0.110 0.815 0.172
O 0.111 0.536 0.145
O 0.241 0.749 0.887
O 0.243 0.608 0.425
O 0.249 0.441 0.975
O 0.249 0.908 0.350
O 0.251 0.971 0.586
O 0.253 0.369 0.752
O 0.389 0.014 0.801
O 0.392 0.186 0.016
O 0.392 0.541 0.136
O 0.392 0.812 0.177
O 0.393 0.152 0.321
O 0.393 0.318 0.529
O 0.601 0.525 0.320
O 0.607 0.153 0.529
O 0.609 0.323 0.150
O 0.610 0.018 0.175
O 0.610 0.802 0.013
O 0.613 0.178 0.810
O 0.751 0.437 0.606
O 0.751 0.878 0.751
O 0.753 0.584 0.978
O 0.754 0.754 0.344
O 0.760 0.347 0.910
O 0.762 0.984 0.416
O 0.892 0.021 0.167
O 0.894 0.321 0.155
O 0.894 0.803 0.012
O 0.900 0.184 0.797
O 0.901 0.523 0.321
O 0.906 0.144 0.543

Principal peaks in the range 5° ≤ 2θ ≤ 70°, low angle first:
two_theta	Rel. int.
10.3	1000
10.4	432
17.9	194
21.5	466
26.1	346
26.2	186
28.0	181
28.2	316
29.1	351
29.3	275

=====

Structure and theoretical powder diffraction line list of Mg2Al2SiO9 (DFT lattice parameters and positions (PBE); CuKα).
Lines closer than 0.1° are merged.

Atomic structure:
Unit cell a=5.390 b=5.469 c=13.308 alpha=100.26 beta=91.53 gamma=119.45
Sites, in units of the cell vectors:
Mg 0.000 0.000 0.000
Mg 0.034 0.278 0.406
Mg 0.342 0.686 0.006
Mg 0.790 0.727 0.543
Al 0.412 0.132 0.227
Al 0.434 0.004 0.541
Al 0.592 0.915 0.790
Al 0.667 0.308 0.013
Si 0.067 0.460 0.225
Si 0.243 0.227 0.746
O 0.005 0.358 0.098
O 0.109 0.668 0.474
O 0.186 0.084 0.621
O 0.209 0.803 0.261
O 0.263 0.347 0.277
O 0.303 0.553 0.768
O 0.352 0.317 0.945
O 0.391 0.074 0.091
O 0.410 0.289 0.482
O 0.525 0.210 0.788
O 0.547 0.854 0.640
O 0.638 0.982 0.932
O 0.696 0.665 0.075
O 0.713 0.980 0.465
O 0.776 0.293 0.279
O 0.779 0.374 0.590
O 0.943 0.598 0.952
O 0.956 0.997 0.786

Principal peaks in the range 5° ≤ 2θ ≤ 70°, low angle first:
two_theta	Rel. int.
6.8	425
18.8	295
19.1	483
27.5	1000
33.5	440
33.8	347
34.2	415
35.2	396
59.1	387
59.4	345

=====

Structure and theoretical powder diffraction line list of Mg2Al2SiO9 (DFT lattice parameters and positions (PBE); CuKα).
Lines closer than 0.1° are merged.

Atomic structure:
Unit cell a=5.363 b=14.157 c=5.436 alpha=90.00 beta=118.95 gamma=90.00
Sites, in units of the cell vectors:
Mg 0.006 0.000 0.032
Mg 0.321 0.109 0.675
Mg 0.679 0.609 0.325
Mg 0.994 0.500 0.968
Al 0.317 0.298 0.989
Al 0.355 0.495 0.693
Al 0.645 0.995 0.307
Al 0.683 0.798 0.011
Si 0.349 0.796 0.336
Si 0.651 0.296 0.664
O 0.025 0.453 0.355
O 0.030 0.757 0.136
O 0.040 0.570 0.650
O 0.292 0.421 0.937
O 0.349 0.066 0.034
O 0.350 0.550 0.369
O 0.361 0.911 0.293
O 0.438 0.244 0.767
O 0.463 0.769 0.661
O 0.537 0.269 0.339
O 0.562 0.744 0.233
O 0.639 0.411 0.707
O 0.650 0.050 0.631
O 0.651 0.566 0.966
O 0.708 0.921 0.063
O 0.960 0.070 0.350
O 0.970 0.257 0.864
O 0.975 0.953 0.645

Principal peaks in the range 5° ≤ 2θ ≤ 70°, low angle first:
two_theta	Rel. int.
12.5	323
18.9	282
19.7	1000
22.7	362
25.2	762
26.9	583
33.3	297
33.6	282
34.0	253
38.2	297